# 1
This entry pairs a crystal structure of GaMo4S8 with its simulated X-ray powder pattern. Radiation: Cu Ka. Structure: a DFT-relaxed cell (GGA-PBE, the Materials Project).
Intensities are scaled so that the largest is 100.

Atomic structure:
```
data_GaMo4S8
_cell_length_a 6.9871
_cell_length_b 6.9871
_cell_length_c 16.8367
_cell_angle_alpha 90.00
_cell_angle_beta 90.00
_cell_angle_gamma 120.00
_space_group_name_H-M_alt 'R 3 m'
_space_group_IT_number 160
_space_group_name_Hall 'R 3 -2"'
loop_
_atom_site_label
_atom_site_type_symbol
_atom_site_fract_x
_atom_site_fract_y
_atom_site_fract_z
_atom_site_occupancy
Ga1 Ga 0.0000 0.0000 0.0000 1
Mo1 Mo 0.0000 0.0000 0.5974 1
Mo2 Mo 0.0575 0.5288 0.1315 1
S1 S 0.0000 0.0000 0.3669 1
S2 S 0.0000 0.0000 0.8626 1
S3 S 0.0257 0.5128 0.8749 1
S4 S 0.0300 0.5150 0.3763 1
```

Principal peaks in the range 2θ from 10° to 90°, in order of rising 2θ:
h k l, two_theta, intensity
1 0 1, 15.56, 79
0 1 2, 18.05, 52
1 1 3, 30.13, 55
0 2 4, 36.58, 100
3 0 3, 47.93, 35
1 2 5, 48.09, 37
2 2 0, 52.38, 47
2 0 8, 53.00, 42


# 2
This entry pairs a crystal structure of Ti5S8 with its simulated X-ray powder pattern. Radiation: Cu Ka. Structure: a DFT-relaxed cell (GGA-PBE, the Materials Project).
Intensities are scaled so that the largest is 100.

Atomic structure:
```
data_Ti5S8
_cell_length_a 5.9434
_cell_length_b 3.4138
_cell_length_c 11.8894
_cell_angle_alpha 90.00
_cell_angle_beta 98.47
_cell_angle_gamma 90.00
_space_group_name_H-M_alt 'P 1 m 1'
_space_group_IT_number 6
loop_
_space_group_symop_operation_xyz
'x,y,z'
'x,-y,z'
loop_
_atom_site_label
_atom_site_type_symbol
_atom_site_fract_x
_atom_site_fract_y
_atom_site_fract_z
_atom_site_occupancy
Ti1 Ti 0.0000 0.0000 0.0000 1
Ti2 Ti 0.0039 0.5000 0.5034 1
Ti3 Ti 0.4993 0.0000 0.4963 1
Ti4 Ti 0.5197 0.5000 0.0000 1
Ti5 Ti 0.9218 0.0000 0.7347 1
S1 S 0.1353 0.5000 0.8688 1
S2 S 0.2219 0.0000 0.6259 1
S3 S 0.3018 0.5000 0.3780 1
S4 S 0.3757 0.0000 0.1128 1
S5 S 0.6396 0.0000 0.8723 1
S6 S 0.7010 0.5000 0.6274 1
S7 S 0.8067 0.0000 0.3835 1
S8 S 0.8780 0.5000 0.1214 1
```

Principal peaks in the range 2θ from 10° to 90°, in order of rising 2θ:
h k l, two_theta, intensity
0 0 2, 15.07, 100
1 1 -2, 32.93, 35
1 1 2, 35.01, 62
1 1 -3, 36.73, 47
1 1 3, 39.55, 71
2 0 -4, 40.06, 36
1 1 -5, 47.62, 33
3 1 -1, 53.48, 58